Simulated powder diffraction line list of CsMoF6 for Cu Kα, from a crystal structure in Alexandria, relaxed with PBE+U.
Lines closer than 0.1° are merged.

Most intense lines, 2θ from 5° to 70°, in order of rising 2θ:
21.7°, 4.095 Å, rel. 100.0
25.1°, 3.551 Å, rel. 74.2
33.4°, 2.683 Å, rel. 17.4
38.1°, 2.364 Å, rel. 12.8
40.2°, 2.244 Å, rel. 61.4
44.2°, 2.048 Å, rel. 15.2
51.5°, 1.775 Å, rel. 21.3
56.5°, 1.629 Å, rel. 31.2

Crystal structure
Cell lengths 5.4626, 5.4626, 5.4626 Å; angles 97.12, 97.12, 97.12 degrees
Positions (direct):
Cs (0.0000, 0.0000, 0.0000)
Mo (0.5000, 0.5000, 0.5000)
F (0.2549, 0.2549, 0.5906)
F (0.2549, 0.5906, 0.2549)
F (0.4094, 0.7451, 0.7451)
F (0.5906, 0.2549, 0.2549)
F (0.7451, 0.4094, 0.7451)
F (0.7451, 0.7451, 0.4094)